For Cu6Ag6Sb4Se12S, DFT lattice parameters and positions (GGA-PBE) gives the calculated powder X-ray diffraction pattern in this record (a wavelength of 1.5418 Å).
Intensities are scaled so that the largest is 100.

Atomic structure:
Lattice parameters (Å, degrees): 9.7091 9.7091 9.7091 109.47 109.47 109.47
Atoms (fractional coordinates):
Cu (0.2500, 0.5000, 0.7500)
Cu (0.2500, 0.7500, 0.5000)
Cu (0.5000, 0.2500, 0.7500)
Cu (0.5000, 0.7500, 0.2500)
Cu (0.7500, 0.2500, 0.5000)
Cu (0.7500, 0.5000, 0.2500)
Ag (0.0000, 0.2235, 0.2235)
Ag (0.0000, 0.7765, 0.7765)
Ag (0.2235, 0.0000, 0.2235)
Ag (0.2235, 0.2235, 0.0000)
Ag (0.7765, 0.0000, 0.7765)
Ag (0.7765, 0.7765, 0.0000)
Sb (0.0000, 0.0000, 0.5509)
Sb (0.0000, 0.5509, 0.0000)
Sb (0.4491, 0.4491, 0.4491)
Sb (0.5509, 0.0000, 0.0000)
Se (0.0000, 0.2502, 0.5001)
Se (0.0000, 0.5001, 0.2502)
Se (0.2502, 0.0000, 0.5001)
Se (0.2502, 0.5001, 0.0000)
Se (0.2499, 0.7498, 0.7498)
Se (0.5001, 0.0000, 0.2502)
Se (0.5001, 0.2502, 0.0000)
Se (0.4999, 0.4999, 0.7501)
Se (0.4999, 0.7501, 0.4999)
Se (0.7498, 0.2499, 0.7498)
Se (0.7501, 0.4999, 0.4999)
Se (0.7498, 0.7498, 0.2499)
S (0.0000, 0.0000, 0.0000)

Main lines, in order of rising 2θ (2θ from 15° to 90°):
2theta  Rel. int.
27.56  100
29.82  15
33.92  11
41.05  16
45.78  64
50.16  7
54.28  32
66.75  8
73.66  12
84.71  14